Record 1
Diffraction record for TbAsO3. The XRD peak list is computed, not measured: it uses a structure optimized by DFT (PBE) and Cu Kα (λ = 1.5418 Å).
Intensities are scaled so that the largest is 100.

Structural model:
```
data_TbAsO3
_space_group_name_H-M_alt 'P -1'
_space_group_IT_number 2
_cell_length_a 3.864
_cell_length_b 6.751
_cell_length_c 6.854
_cell_angle_alpha 108.74
_cell_angle_beta 96.84
_cell_angle_gamma 101.65
loop_
_space_group_symop_operation_xyz
'x,y,z'
'-x,-y,-z'
loop_
_atom_site_label
_atom_site_fract_x
_atom_site_fract_y
_atom_site_fract_z
_atom_site_occupancy
Tb1 0.167 0.276 0.464 1
As1 0.419 0.830 0.087 1
O1 0.201 0.093 0.710 1
O2 0.255 0.584 0.397 1
O3 0.375 0.116 0.138 1
```

Main lines, sorted by position (2θ = 10–90°):
2θ/deg, I/Imax, hkl
13.92, 95, 0 0 1
16.06, 38, 0 1 -1
26.58, 41, 0 1 -2
28.05, 56, 0 0 2
28.58, 100, -1 1 1
28.89, 58, 0 2 0
29.76, 43, 1 1 -1
30.20, 68, 1 0 1
31.13, 41, 1 1 0
32.44, 48, 0 2 -2
33.31, 35, 1 -2 1
44.27, 35, 1 1 -3

Record 2
Diffraction record for TbTmAs2O8. The XRD peak list is computed, not measured: it uses a structure optimized by DFT (PBE) and Cu Kα (λ = 1.5418 Å).
Intensities are scaled so that the largest is 100.

Structural model:
```
data_TbTmAs2O8
_space_group_name_H-M_alt 'I -4'
_space_group_IT_number 82
_cell_length_a 5.031
_cell_length_b 5.031
_cell_length_c 11.283
_cell_angle_alpha 90.00
_cell_angle_beta 90.00
_cell_angle_gamma 90.00
loop_
_space_group_symop_operation_xyz
'x,y,z'
'y,-x,-z'
'-x,-y,z'
'-y,x,-z'
'x+1/2,y+1/2,z+1/2'
'y+1/2,-x+1/2,-z+1/2'
'-x+1/2,-y+1/2,z+1/2'
'-y+1/2,x+1/2,-z+1/2'
loop_
_atom_site_label
_atom_site_fract_x
_atom_site_fract_y
_atom_site_fract_z
_atom_site_occupancy
Tb1 0.000 0.000 0.000 1
Tm1 0.000 0.500 0.750 1
As1 0.000 0.000 0.500 1
As2 0.000 0.500 0.250 1
O1 0.147 0.253 0.580 1
O2 0.153 0.753 0.172 1
```

Main lines, sorted by position (2θ = 10–90°):
2θ/deg, I/Imax, hkl
19.32, 14, 1 0 1
29.69, 100, 1 1 2
31.72, 16, 0 0 4
35.70, 20, 2 0 0
40.89, 9, 2 1 1
48.49, 28, 2 0 4
51.37, 12, 2 2 0
55.26, 17, 1 1 6
60.46, 28, 1 3 2
61.65, 11, 2 2 4
77.61, 7, 2 0 8
78.80, 12, 3 1 6

Record 3
Diffraction record for TiAsO. The XRD peak list is computed, not measured: it uses a structure optimized by DFT (PBE) and Cu Kα (λ = 1.5418 Å).
Intensities are scaled so that the largest is 100.

Structural model:
```
data_TiAsO
_space_group_name_H-M_alt 'P 4/m m m'
_space_group_IT_number 123
_space_group_name_Hall '-P 4 2'
_cell_length_a 2.855
_cell_length_b 2.855
_cell_length_c 5.390
_cell_angle_alpha 90.00
_cell_angle_beta 90.00
_cell_angle_gamma 90.00
loop_
_atom_site_label
_atom_site_fract_x
_atom_site_fract_y
_atom_site_fract_z
_atom_site_occupancy
Ti1 0.000 0.000 0.000 1
As1 0.000 0.000 0.500 1
O1 0.500 0.500 0.000 1
```

Main lines, sorted by position (2θ = 10–90°):
2θ/deg, I/Imax, hkl
31.33, 100, 1 0 0
33.24, 74, 0 0 2
35.58, 26, 1 0 1
44.90, 60, 1 1 0
46.33, 67, 1 0 2
57.00, 56, 1 1 2
65.37, 18, 2 0 0
74.28, 16, 2 1 0
75.34, 23, 2 0 2
78.49, 14, 1 0 4
83.85, 24, 2 1 2
86.92, 16, 1 1 4

Record 4
Diffraction record for TlAsO4. The XRD peak list is computed, not measured: it uses a structure optimized by DFT (PBE) and Cu Kα (λ = 1.5418 Å).
Intensities are scaled so that the largest is 100.

Structural model:
```
data_TlAsO4
_space_group_name_H-M_alt 'P b a n'
_space_group_IT_number 50
_cell_length_a 5.151
_cell_length_b 6.207
_cell_length_c 4.762
_cell_angle_alpha 90.00
_cell_angle_beta 90.00
_cell_angle_gamma 90.00
loop_
_space_group_symop_operation_xyz
'x,y,z'
'-x,-y,-z'
'-x+1/2,-y+1/2,z'
'x+1/2,y+1/2,-z'
'x,-y+1/2,-z'
'-x,y+1/2,z'
'-x+1/2,y,-z'
'x+1/2,-y,z'
loop_
_atom_site_label
_atom_site_fract_x
_atom_site_fract_y
_atom_site_fract_z
_atom_site_occupancy
Tl1 0.250 0.250 0.000 1
As1 0.250 0.750 0.500 1
O1 0.059 0.599 0.269 1
```

Main lines, sorted by position (2θ = 10–90°):
2θ/deg, I/Imax, hkl
18.63, 12, 0 0 1
22.43, 14, 1 1 0
28.77, 22, 0 2 0
29.32, 100, 1 1 1
34.84, 11, 2 0 0
45.78, 16, 2 2 0
48.17, 14, 0 2 2
51.31, 21, 1 3 1
52.33, 13, 2 0 2
59.10, 14, 3 1 1
60.81, 12, 2 2 2
63.08, 12, 1 1 3

Record 5
Diffraction record for TlAsO4. The XRD peak list is computed, not measured: it uses a structure optimized by DFT (PBE) and Cu Kα (λ = 1.5418 Å).
Intensities are scaled so that the largest is 100.

Structural model:
```
data_TlAsO4
_space_group_name_H-M_alt 'I 41/a'
_space_group_IT_number 88
_cell_length_a 4.972
_cell_length_b 4.972
_cell_length_c 12.077
_cell_angle_alpha 90.00
_cell_angle_beta 90.00
_cell_angle_gamma 90.00
loop_
_space_group_symop_operation_xyz
'x,y,z'
'-x,-y,-z'
'-y+3/4,x+1/4,z+1/4'
'y+3/4,-x+1/4,-z+1/4'
'-x+1/2,-y,z+1/2'
'x+1/2,y,-z+1/2'
'y+3/4,-x+3/4,z+3/4'
'-y+3/4,x+3/4,-z+3/4'
'x+1/2,y+1/2,z+1/2'
'-x+1/2,-y+1/2,-z+1/2'
'-y+1/4,x+3/4,z+3/4'
'y+1/4,-x+3/4,-z+3/4'
'-x,-y+1/2,z'
'x,y+1/2,-z'
'y+1/4,-x+1/4,z+1/4'
'-y+1/4,x+1/4,-z+1/4'
loop_
_atom_site_label
_atom_site_fract_x
_atom_site_fract_y
_atom_site_fract_z
_atom_site_occupancy
Tl1 0.000 0.250 0.125 1
As1 0.000 0.250 0.625 1
O1 0.162 0.001 0.701 1
```

Main lines, sorted by position (2θ = 10–90°):
2θ/deg, I/Imax, hkl
19.31, 22, 1 0 1
29.40, 100, 1 1 2
29.59, 20, 0 0 4
36.13, 20, 2 0 0
41.29, 10, 1 2 1
47.37, 30, 2 0 4
52.03, 12, 2 2 0
52.38, 20, 1 1 6
60.89, 26, 3 1 2
60.99, 12, 2 2 4
76.95, 13, 1 3 6
84.20, 11, 3 3 2